Diffraction record for Ti3Cr2CoP6O24. The powder diffraction line list is computed, not measured: it uses a cell relaxed with PBE+U and Cu Kα (λ = 1.5418 Å).
Neutral-atom scattering factors, no anomalous dispersion.

Peak list (10 most intense, 10° ≤ 2θ ≤ 80°, by angle)
Position (°2θ)	d [Å]	Rel. int.
20.6	4.320	75
24.2	3.685	100
25.2	3.527	14
31.9	2.803	16
32.8	2.734	70
36.0	2.494	32
47.0	1.933	25
49.5	1.842	26
56.3	1.633	33
62.7	1.482	22

Atomic structure:
Unit cell a=8.647 b=8.647 c=8.647 alpha=59.94 beta=59.94 gamma=59.94
Sites, in units of the cell vectors:
Ti 0.000 0.000 0.000
Ti 0.211 0.211 0.211
Ti 0.502 0.502 0.502
Cr 0.355 0.355 0.355
Cr 0.853 0.853 0.853
Co 0.711 0.711 0.711
P 0.106 0.813 0.399
P 0.314 0.607 0.899
P 0.399 0.106 0.813
P 0.607 0.899 0.314
P 0.813 0.399 0.106
P 0.899 0.314 0.607
O 0.050 0.856 0.233
O 0.091 0.290 0.439
O 0.116 0.771 0.914
O 0.169 0.976 0.349
O 0.233 0.050 0.856
O 0.274 0.622 0.410
O 0.290 0.439 0.091
O 0.349 0.169 0.976
O 0.355 0.550 0.733
O 0.410 0.274 0.622
O 0.439 0.091 0.290
O 0.468 0.662 0.868
O 0.550 0.733 0.355
O 0.590 0.945 0.803
O 0.622 0.410 0.274
O 0.662 0.868 0.468
O 0.733 0.355 0.550
O 0.771 0.914 0.116
O 0.803 0.590 0.945
O 0.856 0.233 0.050
O 0.868 0.468 0.662
O 0.914 0.116 0.771
O 0.945 0.803 0.590
O 0.976 0.349 0.169